This entry pairs a crystal structure of Hg3S2Cl2 with its computed XRD peak list. Radiation: Cu Ka. Structure: DFT lattice parameters and positions (GGA-PBE).

Most intense lines, 2θ = 5–70°, sorted by position:
2θ (°), d [Å], I/Imax
13.6, 6.493, 32
23.7, 3.748, 100
30.8, 2.904, 50
33.8, 2.651, 40
39.2, 2.295, 29
50.7, 1.801, 39

Atomic structure:
a = 7.952 Å, b = 7.952 Å, c = 7.952 Å
α = 109.47°, β = 109.47°, γ = 109.47°
Positions (direct):
Hg 0.196 0.750 0.946
Hg 0.250 0.554 0.304
Hg 0.304 0.250 0.554
Hg 0.554 0.304 0.250
Hg 0.750 0.946 0.196
Hg 0.946 0.196 0.750
S 0.000 0.974 0.500
S 0.500 0.000 0.974
S 0.526 0.526 0.526
S 0.974 0.500 0.000
Cl 0.000 0.488 0.500
Cl 0.012 0.012 0.012
Cl 0.488 0.500 0.000
Cl 0.500 0.000 0.488

This entry pairs a crystal structure of Y3Th2 with its computed XRD peak list. Radiation: Cu Ka. Structure: DFT lattice parameters and positions (GGA-PBE).

Most intense lines, 2θ = 5–70°, sorted by position:
2θ (°), d [Å], I/Imax
21.4, 4.161, 71
30.2, 2.963, 100
30.3, 2.946, 63
30.5, 2.927, 100
34.1, 2.627, 41
34.3, 2.611, 68

Atomic structure:
a = 9.679 Å, b = 6.314 Å, c = 9.373 Å
α = 73.29°, β = 38.67°, γ = 68.05°
Positions (direct):
Y 0.000 0.000 0.000
Y 0.095 0.769 0.597
Y 0.250 0.250 0.250
Y 0.653 0.711 0.155
Y 0.711 0.653 0.481
Y 0.769 0.095 0.539
Th 0.208 0.431 0.900
Th 0.350 0.789 0.042
Th 0.431 0.208 0.461
Th 0.789 0.350 0.819

This entry pairs a crystal structure of GeMoW with its computed XRD peak list. Radiation: Cu Ka. Structure: DFT lattice parameters and positions (GGA-PBE).

Most intense lines, 2θ = 5–70°, sorted by position:
2θ (°), d [Å], I/Imax
20.1, 4.424, 20
29.4, 3.036, 18
39.3, 2.295, 100
41.1, 2.194, 88
41.6, 2.171, 85
56.7, 1.623, 34

Atomic structure:
a = 4.593 Å, b = 4.586 Å, c = 4.955 Å
α = 90.00°, β = 116.77°, γ = 90.00°
Positions (direct):
Ge 0.000 0.000 0.000
Ge 0.500 0.500 0.000
Mo 0.325 0.000 0.666
Mo 0.825 0.500 0.666
W 0.175 0.500 0.336
W 0.675 0.000 0.336

This entry pairs a crystal structure of La7Dy2Y2 with its computed XRD peak list. Radiation: Cu Ka. Structure: DFT lattice parameters and positions (GGA-PBE).

Most intense lines, 2θ = 5–70°, sorted by position:
2θ (°), d [Å], I/Imax
28.4, 3.141, 64
30.2, 2.961, 100
30.6, 2.921, 95
32.0, 2.794, 85
32.2, 2.778, 60
33.1, 2.703, 30

Atomic structure:
a = 5.842 Å, b = 7.065 Å, c = 9.626 Å
α = 97.45°, β = 90.02°, γ = 90.01°
Positions (direct):
La 0.000 0.000 0.000
La 0.000 0.448 0.826
La 0.000 0.552 0.174
La 0.499 0.990 0.310
La 0.500 0.463 0.652
La 0.500 0.537 0.348
La 0.501 0.010 0.690
Dy 0.000 0.253 0.455
Dy 0.000 0.747 0.545
Y 0.500 0.272 0.018
Y 0.500 0.728 0.982

This entry pairs a crystal structure of FeReIr3 with its computed XRD peak list. Radiation: Cu Ka. Structure: DFT lattice parameters and positions (GGA-PBE).

Most intense lines, 2θ = 5–70°, sorted by position:
2θ (°), d [Å], I/Imax
40.7, 2.219, 100
40.9, 2.207, 98
47.3, 1.921, 33
47.4, 1.918, 32
47.6, 1.911, 32
69.4, 1.355, 31

Atomic structure:
a = 4.713 Å, b = 5.407 Å, c = 6.048 Å
α = 102.99°, β = 97.14°, γ = 106.73°
Positions (direct):
Fe 0.097 0.451 0.204
Fe 0.903 0.549 0.796
Re 0.096 0.948 0.196
Re 0.904 0.052 0.804
Ir 0.292 0.349 0.601
Ir 0.299 0.848 0.601
Ir 0.499 0.251 0.997
Ir 0.501 0.749 0.003
Ir 0.701 0.152 0.399
Ir 0.708 0.651 0.399

This entry pairs a crystal structure of Ba3GeO5 with its computed XRD peak list. Radiation: Cu Ka. Structure: DFT lattice parameters and positions (GGA-PBE).

Most intense lines, 2θ = 5–70°, sorted by position:
2θ (°), d [Å], I/Imax
27.6, 3.230, 30
28.2, 3.167, 100
30.3, 2.947, 27
33.8, 2.655, 27
35.2, 2.553, 35
46.0, 1.973, 23

Atomic structure:
a = 7.511 Å, b = 7.511 Å, c = 11.787 Å
α = 90.00°, β = 90.00°, γ = 90.00°
Positions (direct):
Ba 0.061 0.561 0.250
Ba 0.061 0.939 0.750
Ba 0.250 0.250 0.004
Ba 0.250 0.250 0.504
Ba 0.439 0.561 0.750
Ba 0.439 0.939 0.250
Ba 0.561 0.061 0.750
Ba 0.561 0.439 0.250
Ba 0.750 0.750 0.496
Ba 0.750 0.750 0.996
Ba 0.939 0.061 0.250
Ba 0.939 0.439 0.750
Ge 0.250 0.750 0.000
Ge 0.250 0.750 0.500
Ge 0.750 0.250 0.000
Ge 0.750 0.250 0.500
O 0.090 0.652 0.907
O 0.090 0.848 0.407
O 0.152 0.590 0.593
O 0.152 0.910 0.093
O 0.250 0.250 0.282
O 0.250 0.250 0.782
O 0.348 0.590 0.093
O 0.348 0.910 0.593
O 0.410 0.652 0.407
O 0.410 0.848 0.907
O 0.590 0.152 0.093
O 0.590 0.348 0.593
O 0.652 0.090 0.407
O 0.652 0.410 0.907
O 0.750 0.750 0.218
O 0.750 0.750 0.718
O 0.848 0.090 0.907
O 0.848 0.410 0.407
O 0.910 0.152 0.593
O 0.910 0.348 0.093

Question: What is the formula in the fourth record?
Answer: La7Dy2Y2